The following is a simulated PXRD pattern of SrAc2AlO6. It was derived from DFT lattice parameters and positions (PBE), using λ = 1.5418 Å (Cu Kα).
Intensities are scaled so that the largest is 100.

Atomic structure:
a b c (Å): 5.5968 5.5968 5.3432
angles (deg): 90.00 90.00 90.00
Element x y z (fractional)
Sr 0.0000 0.0000 0.0000
Ac 0.0000 0.5000 0.4537
Ac 0.5000 0.0000 0.4537
Al 0.5000 0.5000 0.0531
O 0.0000 0.0000 0.5540
O 0.2766 0.2766 0.1757
O 0.2766 0.7234 0.1757
O 0.5000 0.5000 0.7120
O 0.7234 0.2766 0.1757
O 0.7234 0.7234 0.1757

Largest 12 diffraction maxima, low angle first, 15° ≤ 2θ ≤ 90°:
2theta  I_rel  index
16.59  35.2  0 0 1
22.47  24.0  1 1 0
28.06  100.0  1 1 1
31.98  34.6  2 0 0
33.54  11.8  0 0 2
36.24  23.4  2 0 1
40.75  19.1  1 1 2
45.86  19.2  2 2 0
47.02  28.3  2 0 2
54.63  32.4  3 1 1
56.67  12.7  1 1 3
75.77  11.1  3 1 3